No. 1
Structure and simulated powder diffractogram of Zn4CdTe (a cell relaxed with GGA-PBE; CuKα).
No peak broadening, texture or thermal motion is included.

Structure:
Cell lengths 7.751, 7.751, 7.751 Å; angles 90.00, 90.00, 90.00 degrees
Space group F-43m (No. 216)
Inequivalent atoms, fractional coordinates:
Zn: 0.125 0.125 0.125
Cd: 0.250 0.250 0.750
Te: 0.000 0.000 0.500

Main lines, in order of rising 2θ (2θ from 10° to 90°):
2θ (°)	I (rel.)	index
32.68	46	2 2 0
38.52	100	3 1 1
40.31	25	2 2 2
58.32	17	4 2 2
62.24	31	5 1 1
68.48	24	4 4 0
81.42	10	5 3 3
82.57	8	6 2 2

***

No. 2
Structure and simulated powder diffractogram of ZnCd4Te5 (a cell relaxed with GGA-PBE; CuKα).
No peak broadening, texture or thermal motion is included.

Structure:
Cell lengths 4.6116, 4.6116, 56.6789 Å; angles 90.00, 90.00, 120.00 degrees
Space group R3m (No. 160, hexagonal axes)
Inequivalent atoms, fractional coordinates:
Zn: 0.0000 0.0000 0.0000
Cd: 0.0000 0.0000 0.2003
Cd: 0.0000 0.0000 0.3974
Cd: 0.0000 0.0000 0.6018
Cd: 0.0000 0.0000 0.7989
Te: 0.0000 0.0000 0.1500
Te: 0.0000 0.0000 0.3469
Te: 0.0000 0.0000 0.5514
Te: 0.0000 0.0000 0.7485
Te: 0.0000 0.0000 0.9528

Main lines, in order of rising 2θ (2θ from 10° to 90°):
2θ (°)	I (rel.)	index
23.60	100	0 1 5
39.02	78	1 1 0
46.09	35	1 0 25
46.16	12	2 0 5
56.36	13	2 0 20
62.02	10	1 2 5
70.73	19	3 0 0
75.67	7	2 1 25

***

No. 3
Structure and simulated powder diffractogram of Zn4CdTe5 (a cell relaxed with GGA-PBE; CuKα).
No peak broadening, texture or thermal motion is included.

Structure:
Cell lengths 4.4140, 4.4140, 36.4898 Å; angles 90.00, 90.00, 120.00 degrees
Space group P3m1 (No. 156)
Inequivalent atoms, fractional coordinates:
Zn: 0.0000 0.0000 0.0000
Zn: 0.0000 0.0000 0.1951
Zn: 0.0000 0.0000 0.3904
Zn: 0.0000 0.0000 0.5856
Zn: 0.0000 0.0000 0.7929
Zn: 0.6667 0.3333 0.0974
Zn: 0.6667 0.3333 0.2927
Zn: 0.6667 0.3333 0.4880
Cd: 0.6667 0.3333 0.6877
Cd: 0.6667 0.3333 0.8947
Te: 0.0000 0.0000 0.1215
Te: 0.0000 0.0000 0.3168
Te: 0.0000 0.0000 0.5121
Te: 0.0000 0.0000 0.7196
Te: 0.0000 0.0000 0.9267
Te: 0.6667 0.3333 0.0239
Te: 0.6667 0.3333 0.2192
Te: 0.6667 0.3333 0.4145
Te: 0.6667 0.3333 0.6096
Te: 0.6667 0.3333 0.8167

Main lines, in order of rising 2θ (2θ from 10° to 90°):
2θ (°)	I (rel.)	index
23.27	100	1 0 0
24.39	54	0 0 10
26.32	83	0 1 5
33.96	36	0 1 10
40.89	89	1 1 0
44.13	78	1 0 15
48.19	50	1 1 10
76.72	29	2 1 15

***

No. 4
Structure and simulated powder diffractogram of Zr2CdTe (a cell relaxed with GGA-PBE; CuKα).
No peak broadening, texture or thermal motion is included.

Structure:
Cell lengths 4.271, 4.271, 9.894 Å; angles 90.00, 90.00, 90.00 degrees
Space group I-4m2 (No. 119)
Inequivalent atoms, fractional coordinates:
Zr: 0.000 0.000 0.000
Zr: 0.000 0.500 0.250
Cd: 0.000 0.500 0.750
Te: 0.000 0.000 0.500

Main lines, in order of rising 2θ (2θ from 10° to 90°):
2θ (°)	I (rel.)	index
34.80	100	1 1 2
36.32	22	0 0 4
42.32	29	2 0 0
56.97	23	2 0 4
61.39	9	2 2 0
64.37	16	1 1 6
72.55	22	3 1 2
73.47	11	2 2 4

***

No. 5
Structure and simulated powder diffractogram of Th6Cd7 (a cell relaxed with GGA-PBE; CuKα).
No peak broadening, texture or thermal motion is included.

Structure:
Cell lengths 9.917, 11.668, 6.036 Å; angles 90.00, 90.00, 90.00 degrees
Space group Pbam (No. 55)
Inequivalent atoms, fractional coordinates:
Th: 0.051 0.126 0.000
Th: 0.157 0.957 0.500
Th: 0.169 0.414 0.000
Cd: 0.000 0.500 0.500
Cd: 0.098 0.252 0.500
Cd: 0.153 0.681 0.244

Main lines, in order of rising 2θ (2θ from 10° to 90°):
2θ (°)	I (rel.)	index
29.60	37	0 0 2
31.80	100	3 1 1
31.97	51	1 4 0
32.81	89	2 3 1
34.14	54	0 4 1
34.67	31	1 2 2
35.66	82	3 3 0
57.83	27	5 2 2

***

No. 6
Structure and simulated powder diffractogram of Th6Cd7 (a cell relaxed with GGA-PBE; CuKα).
No peak broadening, texture or thermal motion is included.

Structure:
Cell lengths 6.0300, 6.0300, 33.3177 Å; angles 90.00, 90.00, 120.00 degrees
Space group R-3m (No. 166, hexagonal axes)
Inequivalent atoms, fractional coordinates:
Th: 0.0000 0.0000 0.0466
Th: 0.0000 0.0000 0.1502
Th: 0.0000 0.0000 0.3337
Cd: 0.0000 0.0000 0.5000
Cd: 0.0041 0.5020 0.9070

Main lines, in order of rising 2θ (2θ from 10° to 90°):
2θ (°)	I (rel.)	index
29.63	94	1 1 0
31.86	77	1 0 10
33.83	100	1 1 6
34.22	69	0 1 11
34.45	37	0 2 1
54.00	35	2 1 10
55.57	35	1 2 11
61.51	37	2 2 0

***

No. 7
Structure and simulated powder diffractogram of ThCd3 (a cell relaxed with GGA-PBE; CuKα).
No peak broadening, texture or thermal motion is included.

Structure:
Cell lengths 3.343, 4.996, 6.192 Å; angles 90.00, 90.00, 90.00 degrees
Space group Pmm2 (No. 25)
Inequivalent atoms, fractional coordinates:
Th: 0.000 0.000 0.000
Cd: 0.000 0.500 0.646
Cd: 0.500 0.000 0.500
Cd: 0.500 0.500 0.206

Main lines, in order of rising 2θ (2θ from 10° to 90°):
2θ (°)	I (rel.)	index
30.38	31	1 0 1
34.07	58	0 1 2
35.41	100	1 1 1
35.95	33	0 2 0
47.76	20	1 2 1
52.07	20	1 0 3
64.27	17	1 3 1
64.90	20	1 2 3

***

No. 8
Structure and simulated powder diffractogram of ThTlCd17 (a cell relaxed with GGA-PBE; CuKα).
No peak broadening, texture or thermal motion is included.

Structure:
Cell lengths 10.1868, 10.1868, 15.1000 Å; angles 90.00, 90.00, 120.00 degrees
Space group R3m (No. 160, hexagonal axes)
Inequivalent atoms, fractional coordinates:
Th: 0.0000 0.0000 0.0000
Tl: 0.0000 0.0000 0.6801
Cd: 0.0000 0.0000 0.2280
Cd: 0.0000 0.0000 0.4280
Cd: 0.9999 0.3011 0.3304
Cd: 0.1732 0.3465 0.8092
Cd: 0.1751 0.3501 0.1665
Cd: 0.1872 0.3744 0.5147

Main lines, in order of rising 2θ (2θ from 10° to 90°):
2θ (°)	I (rel.)	index
30.40	37	3 0 0
31.18	25	0 2 4
35.24	48	2 2 0
35.35	100	0 3 3
35.68	28	0 0 6
36.04	22	2 0 5
39.66	31	2 2 3
63.88	19	0 3 9